Computed X-ray diffraction stick pattern
Compound: CsTl5Br7
Radiation: Cu Kα X-rays
Structure: a DFT-relaxed cell (PBE, Alexandria)
Neutral-atom scattering factors, no anomalous dispersion.

Most intense lines, 5° ≤ 2θ ≤ 70°, in order of rising 2θ:
13.891 Å, 2θ = 6.36°, I 33; 3.968 Å, 2θ = 22.41°, I 52; 3.465 Å, 2θ = 25.71°, I 37; 3.386 Å, 2θ = 26.32°, I 100; 3.267 Å, 2θ = 27.30°, I 78; 3.166 Å, 2θ = 28.19°, I 41; 2.555 Å, 2θ = 35.13°, I 36; 2.382 Å, 2θ = 37.76°, I 44; 2.371 Å, 2θ = 37.94°, I 39; 2.345 Å, 2θ = 38.39°, I 44

```
data_CsTl5Br7
_chemical_formula_sum 'Cs4 Tl20 Br28'
_cell_length_a 15.397
_cell_length_b 4.764
_cell_length_c 27.782
_cell_angle_alpha 90.00
_cell_angle_beta 90.06
_cell_angle_gamma 90.00
_space_group_name_H-M_alt 'C 1 2/m 1'
_space_group_IT_number 12
loop_
_space_group_symop_operation_xyz
'x,y,z'
'-x,-y,-z'
'-x,y,-z'
'x,-y,z'
'x+1/2,y+1/2,z'
'-x+1/2,-y+1/2,-z'
'-x+1/2,y+1/2,-z'
'x+1/2,-y+1/2,z'
loop_
_atom_site_label
_atom_site_fract_x
_atom_site_fract_y
_atom_site_fract_z
Cs1 0.198 0.000 0.250
Tl1 0.000 0.000 0.000
Tl2 0.000 0.000 0.500
Tl3 0.046 0.500 0.647
Tl4 0.046 0.500 0.853
Tl5 0.220 0.500 0.074
Tl6 0.220 0.500 0.426
Br1 0.016 0.500 0.250
Br2 0.089 0.000 0.388
Br3 0.090 0.000 0.111
Br4 0.136 0.500 0.540
Br5 0.136 0.500 0.960
Br6 0.180 0.000 0.828
Br7 0.181 0.000 0.672
```